The following is a computed PXRD pattern of HoNp2O7. It was derived from a crystal structure in Alexandria, relaxed with GGA-PBE, using Cu Ka.
Peak positions follow from Bragg's law for the DFT cell and can differ from measured ones.

Largest 6 diffraction maxima, most intense first, 10 to 90 degrees two-theta:
2theta  d_spacing  I (rel.)
27.68  3.222  1000
34.11  2.628  681
30.84  2.900  570
47.78  1.903  564
26.32  3.386  477
50.23  1.816  441

Cell and atoms:
```
data_HoNp2O7
_symmetry_space_group_name_H-M 'P 1'
_symmetry_Int_Tables_number 1
_cell_length_a 10.392
_cell_length_b 10.392
_cell_length_c 10.392
_cell_angle_alpha 21.11
_cell_angle_beta 21.11
_cell_angle_gamma 21.11
loop_
_symmetry_equiv_pos_as_xyz
'x,y,z'
loop_
_atom_site_label
_atom_site_fract_x
_atom_site_fract_y
_atom_site_fract_z
_atom_site_occupancy
Ho1 0.000 0.000 0.000 1
Np1 0.432 0.432 0.432 1
Np2 0.568 0.568 0.568 1
O1 0.077 0.077 0.077 1
O2 0.220 0.220 0.220 1
O3 0.362 0.362 0.362 1
O4 0.500 0.500 0.500 1
O5 0.638 0.638 0.638 1
O6 0.780 0.780 0.780 1
O7 0.923 0.923 0.923 1
```